The following is a simulated X-ray diffraction stick pattern of Cu9Ag. It was derived from the PBE geometry in OQMD, using Cu Ka.
Peak positions follow from Bragg's law for the DFT cell and can differ from measured ones.

Principal peaks in the range 2θ = 10–90°, most intense first:
2θ/deg	I_rel
42.65	100.0
49.62	31.1
88.21	21.0
72.82	17.9
49.73	15.6
72.92	9.0
88.36	8.0
88.42	2.7

Atomic structure:
Unit cell a=6.8714 b=6.8714 c=4.4972 alpha=96.22 beta=96.22 gamma=141.84
Fractional positions:
Cu  0.0000  0.0000  0.0000
Cu  0.1045  0.8955  0.5000
Cu  0.1996  0.8004  0.0000
Cu  0.2957  0.7043  0.5000
Cu  0.3947  0.6053  0.0000
Cu  0.6053  0.3947  0.0000
Cu  0.7043  0.2957  0.5000
Cu  0.8004  0.1996  0.0000
Cu  0.8955  0.1045  0.5000
Ag  0.5000  0.5000  0.5000

***

The following is a simulated X-ray diffraction stick pattern of Dy4Al4O11. It was derived from the PBE geometry in OQMD, using Cu Ka.
Peak positions follow from Bragg's law for the DFT cell and can differ from measured ones.

Principal peaks in the range 2θ = 10–90°, most intense first:
2θ/deg	I_rel
34.38	100.0
23.98	59.7
24.27	29.4
42.78	26.1
34.68	24.1
61.97	21.6
41.92	18.8
26.93	18.7

Atomic structure:
Unit cell a=5.1728 b=7.3347 c=5.3267 alpha=90.00 beta=90.14 gamma=90.00
Fractional positions:
Dy  0.0000  0.0000  0.0000
Dy  0.0196  0.5000  0.1036
Dy  0.5007  0.5000  0.6089
Dy  0.5215  0.0000  0.4981
Al  0.0116  0.2512  0.5523
Al  0.0116  0.7488  0.5523
Al  0.5112  0.2553  0.0538
Al  0.5112  0.7447  0.0538
O  0.0929  0.0000  0.5738
O  0.2176  0.2950  0.8456
O  0.2176  0.7050  0.8456
O  0.3050  0.2934  0.3469
O  0.3050  0.7066  0.3469
O  0.4288  0.0000  0.0730
O  0.7176  0.2089  0.7592
O  0.7176  0.7911  0.7592
O  0.8060  0.2081  0.2577
O  0.8060  0.7919  0.2577
O  0.9274  0.5000  0.5311

***

The following is a simulated X-ray diffraction stick pattern of TmTaF7. It was derived from the PBE geometry in OQMD, using Cu Ka.
Peak positions follow from Bragg's law for the DFT cell and can differ from measured ones.

Principal peaks in the range 2θ = 10–90°, most intense first:
2θ/deg	I_rel
26.59	100.0
28.09	77.4
26.15	60.7
28.34	28.1
47.73	26.9
53.83	26.6
47.35	25.5
31.29	22.4

Atomic structure:
Unit cell a=4.6091 b=6.8164 c=6.3147 alpha=90.00 beta=94.19 gamma=90.00
Fractional positions:
Tm  0.0381  0.2500  0.3184
Tm  0.9619  0.7500  0.6816
Ta  0.4817  0.2500  0.7869
Ta  0.5183  0.7500  0.2131
F  0.1479  0.2500  0.9670
F  0.1869  0.0699  0.6212
F  0.1869  0.4301  0.6212
F  0.2805  0.5049  0.2152
F  0.2805  0.9951  0.2152
F  0.3325  0.7500  0.9095
F  0.3846  0.7500  0.5147
F  0.6154  0.2500  0.4853
F  0.6675  0.2500  0.0905
F  0.7195  0.0049  0.7848
F  0.7195  0.4951  0.7848
F  0.8131  0.5699  0.3788
F  0.8131  0.9301  0.3788
F  0.8521  0.7500  0.0330

***

The following is a simulated X-ray diffraction stick pattern of Sc. It was derived from the PBE geometry in OQMD, using Cu Ka.
Peak positions follow from Bragg's law for the DFT cell and can differ from measured ones.

Principal peaks in the range 2θ = 10–90°, most intense first:
2θ/deg	I_rel
34.86	100.0
35.69	93.3
50.75	31.0
63.59	29.3
61.96	16.0
64.12	14.3
84.59	12.3
86.04	11.8

Atomic structure:
Unit cell a=5.0308 b=5.0308 c=3.1898 alpha=90.00 beta=90.00 gamma=120.00
Fractional positions:
Sc  0.0000  0.0000  0.0000
Sc  0.3333  0.6667  0.6667
Sc  0.6667  0.3333  0.3333

***

Number 4 is which compound?
Sc

***

Which formula does entry 4 have?
Sc